[1]
Starting from a DFT-relaxed cell (PBE, OQMD), the powder XRD pattern of PrHo2Zn3CdIn2 was simulated for λ = 1.5418 Å (Cu Kα).
Peak positions follow from Bragg's law for the DFT cell and can differ from measured ones.

Cell and atoms:
```
PrHo2Zn3CdIn2
1.0
4.615 0.000 0.000
0.000 6.334 3.575
0.000 -6.334 3.575
Pr Ho Zn Cd In
1 2 3 1 2
Direct
0.000 0.000 0.000
0.000 0.422 0.851
0.000 0.851 0.422
0.500 0.194 0.427
0.500 0.427 0.194
0.500 0.661 0.661
0.000 0.439 0.439
0.500 0.094 0.753
0.500 0.753 0.094
```

Main lines, sorted by position (15 to 90 degrees two-theta):
3.113 Å, I = 13; 2.856 Å, I = 61; 2.826 Å, I = 38; 2.611 Å, I = 47; 2.581 Å, I = 100; 2.388 Å, I = 17; 2.371 Å, I = 16; 2.307 Å, I = 45; 2.076 Å, I = 15; 1.379 Å, I = 20


[2]
Starting from a DFT-relaxed cell (PBE, OQMD), the powder XRD pattern of HoCdNO was simulated for λ = 1.5418 Å (Cu Kα).
Peak positions follow from Bragg's law for the DFT cell and can differ from measured ones.

Cell and atoms:
```
HoCdNO
1.0
8.078 0.000 0.000
0.000 6.430 0.000
0.000 0.000 4.881
Ho Cd N O
4 4 4 4
Direct
0.134 0.068 0.250
0.134 0.432 0.750
0.866 0.568 0.250
0.866 0.932 0.750
0.369 0.566 0.250
0.369 0.934 0.750
0.631 0.066 0.250
0.631 0.434 0.750
0.119 0.084 0.750
0.119 0.416 0.250
0.881 0.584 0.750
0.881 0.916 0.250
0.381 0.581 0.750
0.381 0.919 0.250
0.619 0.081 0.750
0.619 0.419 0.250
```

Main lines, sorted by position (15 to 90 degrees two-theta):
3.420 Å, I = 28; 3.215 Å, I = 29; 2.801 Å, I = 100; 2.685 Å, I = 29; 2.441 Å, I = 32; 2.020 Å, I = 17; 1.893 Å, I = 27; 1.556 Å, I = 14; 1.496 Å, I = 24; 1.469 Å, I = 15


[3]
Starting from a DFT-relaxed cell (PBE, OQMD), the powder XRD pattern of Ho2Cd3O3 was simulated for λ = 1.5418 Å (Cu Kα).
Peak positions follow from Bragg's law for the DFT cell and can differ from measured ones.

Cell and atoms:
```
Ho2Cd3O3
1.0
2.504 1.446 7.878
-2.504 1.446 7.878
0.000 -2.892 7.878
Ho Cd O
2 3 3
Direct
0.202 0.202 0.202
0.798 0.798 0.798
0.000 0.500 0.500
0.500 0.000 0.500
0.500 0.500 0.000
0.119 0.119 0.119
0.500 0.500 0.500
0.881 0.881 0.881
```

Main lines, sorted by position (15 to 90 degrees two-theta):
4.072 Å, I = 100; 3.939 Å, I = 43; 2.664 Å, I = 40; 2.626 Å, I = 20; 2.387 Å, I = 62; 2.160 Å, I = 28; 2.036 Å, I = 23; 1.971 Å, I = 42; 1.598 Å, I = 25; 1.548 Å, I = 20


[4]
Starting from a DFT-relaxed cell (PBE, OQMD), the powder XRD pattern of PrHo2Tl2Cd4 was simulated for λ = 1.5418 Å (Cu Kα).
Peak positions follow from Bragg's law for the DFT cell and can differ from measured ones.

Cell and atoms:
```
PrHo2Tl2Cd4
1.0
4.616 0.000 0.000
0.000 6.649 3.768
0.000 -6.649 3.768
Pr Ho Tl Cd
1 2 2 4
Direct
0.000 0.000 0.000
0.000 0.424 0.850
0.000 0.850 0.424
0.500 0.095 0.754
0.500 0.754 0.095
0.000 0.435 0.435
0.500 0.188 0.426
0.500 0.426 0.188
0.500 0.667 0.667
```

Main lines, sorted by position (15 to 90 degrees two-theta):
2.943 Å, I = 74; 2.919 Å, I = 42; 2.698 Å, I = 45; 2.673 Å, I = 100; 2.508 Å, I = 22; 2.493 Å, I = 19; 2.308 Å, I = 47; 2.204 Å, I = 18; 2.185 Å, I = 23; 1.698 Å, I = 20


[5]
Starting from a DFT-relaxed cell (PBE, OQMD), the powder XRD pattern of PrHo2Tl2Zn3Cd was simulated for λ = 1.5418 Å (Cu Kα).
Peak positions follow from Bragg's law for the DFT cell and can differ from measured ones.

Cell and atoms:
```
PrHo2Tl2Zn3Cd
1.0
4.585 0.000 0.000
0.000 6.392 3.612
0.000 -6.392 3.612
Pr Ho Tl Zn Cd
1 2 2 3 1
Direct
0.000 0.000 0.000
0.000 0.423 0.850
0.000 0.850 0.423
0.500 0.095 0.753
0.500 0.753 0.095
0.500 0.198 0.427
0.500 0.427 0.198
0.500 0.658 0.658
0.000 0.439 0.439
```

Main lines, sorted by position (15 to 90 degrees two-theta):
3.670 Å, I = 22; 2.865 Å, I = 73; 2.837 Å, I = 43; 2.622 Å, I = 43; 2.593 Å, I = 100; 2.410 Å, I = 17; 2.292 Å, I = 46; 2.132 Å, I = 26; 2.096 Å, I = 21; 1.393 Å, I = 20


[6]
Starting from a DFT-relaxed cell (PBE, OQMD), the powder XRD pattern of HoTlCdTe3 was simulated for λ = 1.5418 Å (Cu Kα).
Peak positions follow from Bragg's law for the DFT cell and can differ from measured ones.

Cell and atoms:
```
HoTlCdTe3
1.0
11.670 0.000 0.000
0.000 4.453 0.000
0.000 0.000 15.379
Ho Tl Cd Te
4 4 4 12
Direct
0.012 0.250 0.248
0.488 0.750 0.748
0.512 0.250 0.252
0.988 0.750 0.752
0.235 0.750 0.511
0.265 0.250 0.011
0.735 0.750 0.989
0.765 0.250 0.489
0.241 0.250 0.715
0.259 0.750 0.215
0.741 0.250 0.785
0.759 0.750 0.285
0.037 0.250 0.616
0.060 0.750 0.111
0.239 0.750 0.831
0.261 0.250 0.331
0.440 0.250 0.611
0.463 0.750 0.116
0.537 0.250 0.884
0.560 0.750 0.389
0.739 0.750 0.669
0.761 0.250 0.169
0.940 0.250 0.889
0.963 0.750 0.384
```

Main lines, sorted by position (15 to 90 degrees two-theta):
3.231 Å, I = 76; 2.914 Å, I = 100; 2.878 Å, I = 19; 2.544 Å, I = 17; 2.347 Å, I = 23; 2.322 Å, I = 25; 2.227 Å, I = 27; 1.917 Å, I = 22; 1.770 Å, I = 19; 1.615 Å, I = 15